[1]
Structure and simulated powder XRD pattern of Mn21Mo2C6 (a structure optimized by DFT (PBE); Cu Kα, 1.54184 Å).
Intensities are scaled so that the largest is 100.

Cell lengths 10.481, 10.481, 10.481 Å; angles 90.00, 90.00, 90.00 degrees
Space group Fm-3m (No. 225)
Asymmetric unit:
Mn  0.000  0.000  0.000 x4
Mn  0.000  0.167  0.167 x48
Mn  0.116  0.116  0.384 x32
Mo  0.250  0.250  0.250 x8
C  0.000  0.000  0.275 x24

Top 10 peaks for 15° ≤ 2θ ≤ 90°, by angle:
| d/Å | 2θ (°) | intensity |
| --- | --- | --- |
| 2.344 | 38.4 | 45 |
| 2.140 | 42.2 | 46 |
| 2.017 | 44.9 | 100 |
| 1.853 | 49.2 | 29 |
| 1.772 | 51.6 | 26 |
| 1.747 | 52.4 | 7 |
| 1.580 | 58.4 | 13 |
| 1.271 | 74.7 | 12 |
| 1.235 | 77.2 | 27 |
| 1.210 | 79.1 | 12 |

***

[2]
Structure and simulated powder XRD pattern of MnMoC (a structure optimized by DFT (PBE); Cu Kα, 1.54184 Å).
Intensities are scaled so that the largest is 100.

Cell lengths 10.851, 2.931, 4.172 Å; angles 90.00, 99.89, 90.00 degrees
Space group Cm (No. 8)
Asymmetric unit:
Mn  0.000  0.000  0.000 x2
Mn  0.226  0.000  0.855 x2
Mo  0.169  0.500  0.336 x2
Mo  0.411  0.000  0.466 x2
C  0.062  0.000  0.557 x2
C  0.328  0.500  0.758 x2

Top 10 peaks for 15° ≤ 2θ ≤ 90°, by angle:
| d/Å | 2θ (°) | intensity |
| --- | --- | --- |
| 4.110 | 21.6 | 21 |
| 2.672 | 33.5 | 35 |
| 2.440 | 36.8 | 33 |
| 2.380 | 37.8 | 21 |
| 2.281 | 39.5 | 97 |
| 2.263 | 39.8 | 30 |
| 2.082 | 43.5 | 100 |
| 2.055 | 44.1 | 19 |
| 2.039 | 44.4 | 23 |
| 1.727 | 53.0 | 27 |

***

[3]
Structure and simulated powder XRD pattern of Mn2Mo3C (a structure optimized by DFT (PBE); Cu Kα, 1.54184 Å).
Intensities are scaled so that the largest is 100.

Cell lengths 6.740, 6.740, 6.740 Å; angles 90.00, 90.00, 90.00 degrees
Space group P4_132 (No. 213)
Asymmetric unit:
Mn  0.072  0.072  0.072 x8
Mo  0.047  0.875  0.703 x12
C  0.125  0.625  0.875 x4

Top 10 peaks for 15° ≤ 2θ ≤ 90°, by angle:
| d/Å | 2θ (°) | intensity |
| --- | --- | --- |
| 3.014 | 29.6 | 10 |
| 2.247 | 40.1 | 100 |
| 2.131 | 42.4 | 59 |
| 2.032 | 44.6 | 23 |
| 1.589 | 58.1 | 8 |
| 1.507 | 61.5 | 8 |
| 1.322 | 71.4 | 22 |
| 1.252 | 76.0 | 20 |
| 1.139 | 85.2 | 8 |
| 1.093 | 89.7 | 8 |

***

[4]
Structure and simulated powder XRD pattern of TmMnMoC3 (a structure optimized by DFT (PBE); Cu Kα, 1.54184 Å).
Intensities are scaled so that the largest is 100.

Cell lengths 6.606, 3.246, 7.249 Å; angles 90.00, 101.97, 90.00 degrees
Space group P2_1/m (No. 11)
Asymmetric unit:
Tm  0.175  0.250  0.195 x2
Mn  0.111  0.250  0.602 x2
Mo  0.355  0.750  0.868 x2
C  0.119  0.250  0.857 x2
C  0.179  0.750  0.515 x2
C  0.437  0.750  0.160 x2

Top 10 peaks for 15° ≤ 2θ ≤ 90°, by angle:
| d/Å | 2θ (°) | intensity |
| --- | --- | --- |
| 4.349 | 20.4 | 39 |
| 3.546 | 25.1 | 26 |
| 2.951 | 30.3 | 75 |
| 2.734 | 32.8 | 36 |
| 2.681 | 33.4 | 75 |
| 2.394 | 37.6 | 74 |
| 2.364 | 38.1 | 34 |
| 2.290 | 39.3 | 100 |
| 2.279 | 39.5 | 49 |
| 1.388 | 67.5 | 24 |

***

Repeat the fourth record exactly.
Structure and simulated powder XRD pattern of TmMnMoC3 (a structure optimized by DFT (PBE); Cu Kα, 1.54184 Å).
Intensities are scaled so that the largest is 100.

Cell lengths 6.606, 3.246, 7.249 Å; angles 90.00, 101.97, 90.00 degrees
Space group P2_1/m (No. 11)
Asymmetric unit:
Tm  0.175  0.250  0.195 x2
Mn  0.111  0.250  0.602 x2
Mo  0.355  0.750  0.868 x2
C  0.119  0.250  0.857 x2
C  0.179  0.750  0.515 x2
C  0.437  0.750  0.160 x2

Top 10 peaks for 15° ≤ 2θ ≤ 90°, by angle:
| d/Å | 2θ (°) | intensity |
| --- | --- | --- |
| 4.349 | 20.4 | 39 |
| 3.546 | 25.1 | 26 |
| 2.951 | 30.3 | 75 |
| 2.734 | 32.8 | 36 |
| 2.681 | 33.4 | 75 |
| 2.394 | 37.6 | 74 |
| 2.364 | 38.1 | 34 |
| 2.290 | 39.3 | 100 |
| 2.279 | 39.5 | 49 |
| 1.388 | 67.5 | 24 |